Simulated X-ray diffraction stick pattern of Li2OsWO6 for CuKα, from a structure optimized by DFT (GGA+U).
Neutral-atom scattering factors, no anomalous dispersion.

Cell and atoms:
Cell: 5.6373 5.6373 3.8224 Å, 90.00 90.00 90.00°
Fractional coordinates of all 10 atoms:
Li 0.0000 0.5000 0.0000
Li 0.5000 0.0000 0.0000
Os 0.0000 0.0000 0.9044
W 0.5000 0.5000 0.8936
O 0.0000 0.0000 0.4054
O 0.2560 0.2560 0.9102
O 0.2560 0.7440 0.9102
O 0.5000 0.5000 0.4013
O 0.7440 0.2560 0.9102
O 0.7440 0.7440 0.9102

Top 10 peaks for 2θ = 10–90°, sorted by position:
22.3 deg, intensity 100.0; 23.3 deg, intensity 49.6; 31.7 deg, intensity 31.6; 32.5 deg, intensity 53.4; 39.7 deg, intensity 23.0; 45.5 deg, intensity 22.0; 51.2 deg, intensity 21.2; 51.7 deg, intensity 22.6; 53.1 deg, intensity 19.6; 57.0 deg, intensity 22.9